Structure and computed powder diffraction line list of Ba4LaTi3O12 (a cell relaxed with GGA-PBE; Cu Kα (weighted mean of Kα1 and Kα2)).

Structure:
```
20
Lattice="-4.194 4.194 4.194 4.194 -4.194 4.194 4.194 4.194 -4.194" Properties=species:S:1:pos:R:3 pbc="T T T"
Ba 2.097 2.097 -2.097
Ba 2.097 -2.097 2.097
Ba -2.097 2.097 2.097
Ba 2.097 2.097 2.097
La 0.000 0.000 0.000
Ti 4.194 0.000 0.000
Ti 0.000 4.194 0.000
Ti 0.000 0.000 4.194
O 2.305 0.000 0.000
O 6.083 0.000 0.000
O 4.194 2.097 0.000
O 4.194 0.000 2.097
O 0.000 2.305 0.000
O 0.000 0.000 2.305
O 2.097 4.194 0.000
O 2.097 0.000 4.194
O 0.000 6.083 0.000
O 0.000 0.000 6.083
O 0.000 4.194 2.097
O 0.000 2.097 4.194
```

Main lines, by angle (2θ = 15–90°):
2θ/deg  intensity
30.14  100
43.14  33
53.52  39
62.66  20
71.08  18
86.91  21

---

Structure and computed powder diffraction line list of Ba2La4Ti5O18 (a cell relaxed with GGA-PBE; Cu Kα (weighted mean of Kα1 and Kα2)).

Structure:
```
29
Lattice="2.809 1.622 13.545 -2.809 1.622 13.545 0.000 -3.243 13.545" Properties=species:S:1:pos:R:3 pbc="T T T"
Ba 0.000 0.000 0.000
Ba 0.000 0.000 18.271
La 0.000 0.000 7.248
La 0.000 0.000 11.135
La 0.000 0.000 22.394
La 0.000 0.000 29.589
Ti 0.000 0.000 3.559
Ti 0.000 0.000 14.722
Ti 0.000 0.000 25.947
Ti 0.000 0.000 33.126
Ti 0.000 0.000 37.081
O -1.402 -0.810 13.543
O 0.000 -1.552 9.154
O -1.344 0.776 9.154
O -1.401 -0.809 20.438
O 0.000 -1.615 15.822
O -1.398 0.807 15.822
O -1.372 -0.792 24.789
O -1.385 -0.800 31.599
O 1.402 -0.810 13.543
O 0.000 1.619 13.543
O 1.344 0.776 9.154
O 1.401 -0.809 20.438
O 0.000 1.618 20.438
O 1.398 0.807 15.822
O 1.372 -0.792 24.789
O 0.000 1.584 24.789
O 1.385 -0.800 31.599
O 0.000 1.599 31.599
```

Main lines, by angle (2θ = 15–90°):
2θ/deg  intensity
30.38  100
31.86  90
40.20  19
44.60  61
53.03  20
55.85  36

---

Structure and computed powder diffraction line list of BaLa2Ti3O10 (a cell relaxed with GGA-PBE; Cu Kα (weighted mean of Kα1 and Kα2)).

Structure:
```
32
Lattice="1.971 -14.326 0.000 1.971 14.326 0.000 0.000 0.000 7.739" Properties=species:S:1:pos:R:3 pbc="T T T"
Ba 1.971 7.390 3.869
Ba 1.971 -7.390 0.000
La 1.971 12.229 3.835
La 1.971 12.053 7.725
La 1.971 -12.053 3.856
La 1.971 -12.229 7.705
Ti 1.971 4.205 1.897
Ti 1.971 4.210 5.830
Ti 1.971 0.014 1.915
Ti 1.971 -0.014 5.785
Ti 1.971 -4.210 1.960
Ti 1.971 -4.205 5.766
O 1.971 -14.318 1.999
O 1.971 14.318 5.869
O 1.971 10.535 1.982
O 1.971 10.542 5.752
O 1.971 5.946 1.584
O 1.971 5.949 6.156
O 1.971 4.196 3.872
O 1.971 3.549 0.003
O 1.971 1.911 2.342
O 1.971 1.904 5.461
O 1.971 0.447 0.039
O 1.971 -0.447 3.908
O 1.971 -1.904 1.591
O 1.971 -1.911 6.212
O 1.971 -3.549 3.872
O 1.971 -4.196 0.003
O 1.971 -5.949 2.286
O 1.971 -5.946 5.453
O 1.971 -10.542 1.883
O 1.971 -10.535 5.852
```

Main lines, by angle (2θ = 15–90°):
2θ/deg  intensity
18.58  38
29.72  100
31.51  53
32.58  64
39.36  37
53.17  35